1.
Structure and theoretical XRD peak list of Ba2CaP4H6O16 (a cell relaxed with GGA-PBE; Cu Kα (weighted mean of Kα1 and Kα2)).
Peak positions follow from Bragg's law for the DFT cell and can differ from measured ones.

Crystal structure
```
data_Ba2CaP4H6O16
_chemical_formula_sum 'Ba4 Ca2 P8 H12 O32'
_cell_length_a 5.558
_cell_length_b 10.382
_cell_length_c 12.423
_cell_angle_alpha 90.00
_cell_angle_beta 100.47
_cell_angle_gamma 90.00
_space_group_name_H-M_alt 'P 1 21/c 1'
_space_group_IT_number 14
loop_
_space_group_symop_operation_xyz
'x,y,z'
'-x,-y,-z'
'-x,y+1/2,-z+1/2'
'x,-y+1/2,z+1/2'
loop_
_atom_site_label
_atom_site_fract_x
_atom_site_fract_y
_atom_site_fract_z
Ba1 0.141 0.155 0.321
Ca1 0.000 0.000 0.000
P1 0.234 0.694 0.946
P2 0.411 0.007 0.798
H1 0.289 0.534 0.065
H2 0.386 0.673 0.758
H3 0.439 0.186 0.061
O1 0.069 0.729 0.507
O2 0.166 0.695 0.821
O3 0.181 0.008 0.849
O4 0.237 0.546 0.981
O5 0.365 0.057 0.128
O6 0.368 0.558 0.185
O7 0.472 0.157 0.782
O8 0.485 0.237 0.519
```

Most intense lines, 15 to 90 degrees two-theta, by angle:
two_theta  I_rel  index
18.57  808  0 2 1
25.26  716  1 1 2
26.23  1000  1 2 -2
30.51  655  0 1 4
32.16  881  1 3 1
33.41  688  2 1 -1

***

2.
Structure and theoretical XRD peak list of BaCaHfSnO6 (a cell relaxed with GGA-PBE; Cu Kα (weighted mean of Kα1 and Kα2)).
Peak positions follow from Bragg's law for the DFT cell and can differ from measured ones.

Crystal structure
```
data_BaCaHfSnO6
_chemical_formula_sum 'Ba4 Ca4 Hf4 Sn4 O24'
_cell_length_a 8.281
_cell_length_b 8.281
_cell_length_c 8.281
_cell_angle_alpha 90.00
_cell_angle_beta 90.00
_cell_angle_gamma 90.00
_space_group_name_H-M_alt 'F -4 3 m'
_space_group_IT_number 216
_space_group_name_Hall 'F -4 2 3'
loop_
_atom_site_label
_atom_site_fract_x
_atom_site_fract_y
_atom_site_fract_z
Ba1 0.000 0.000 0.000
Ca1 0.000 0.000 0.500
Hf1 0.250 0.250 0.750
Sn1 0.250 0.250 0.250
O1 0.000 0.250 0.250
```

Most intense lines, 15 to 90 degrees two-theta, by angle:
two_theta  I_rel  index
30.53  1000  2 2 0
43.73  311  4 0 0
54.27  408  4 2 2
63.56  194  4 4 0
72.15  179  6 2 0
88.32  223  6 4 2

***

3.
Structure and theoretical XRD peak list of BaCaI4 (a cell relaxed with GGA-PBE; Cu Kα (weighted mean of Kα1 and Kα2)).
Peak positions follow from Bragg's law for the DFT cell and can differ from measured ones.

Crystal structure
```
data_BaCaI4
_chemical_formula_sum 'Ba4 Ca4 I16'
_cell_length_a 9.975
_cell_length_b 11.055
_cell_length_c 10.987
_cell_angle_alpha 90.00
_cell_angle_beta 90.00
_cell_angle_gamma 90.00
_space_group_name_H-M_alt 'I m m a'
_space_group_IT_number 74
_space_group_name_Hall '-I 2b 2'
loop_
_atom_site_label
_atom_site_fract_x
_atom_site_fract_y
_atom_site_fract_z
Ba1 0.000 0.250 0.229
Ca1 0.250 0.250 0.750
I1 0.000 0.067 0.768
I2 0.230 0.250 0.464
```

Most intense lines, 15 to 90 degrees two-theta, by angle:
two_theta  I_rel  index
16.07  335  0 2 0
24.08  1000  2 0 2
25.50  313  0 3 1
31.26  322  2 3 1
36.01  180  4 0 0
39.10  403  2 3 3

***

4.
Structure and theoretical XRD peak list of BaCaI4 (a cell relaxed with GGA-PBE; Cu Kα (weighted mean of Kα1 and Kα2)).
Peak positions follow from Bragg's law for the DFT cell and can differ from measured ones.

Crystal structure
```
data_BaCaI4
_chemical_formula_sum 'Ba1 Ca1 I4'
_cell_length_a 5.700
_cell_length_b 8.187
_cell_length_c 5.719
_cell_angle_alpha 90.00
_cell_angle_beta 90.00
_cell_angle_gamma 90.00
_space_group_name_H-M_alt 'P m m 2'
_space_group_IT_number 25
loop_
_space_group_symop_operation_xyz
'x,y,z'
'-x,-y,z'
'-x,y,z'
'x,-y,z'
loop_
_atom_site_label
_atom_site_fract_x
_atom_site_fract_y
_atom_site_fract_z
Ba1 0.000 0.000 0.000
Ca1 0.500 0.500 0.488
I1 0.000 0.263 0.496
I2 0.500 0.266 0.991
```

Most intense lines, 15 to 90 degrees two-theta, by angle:
two_theta  I_rel  index
18.95  237  1 1 0
22.02  290  1 0 1
31.11  1000  1 2 1
31.28  252  0 0 2
31.39  250  2 0 0
55.57  187  1 2 3

***

5.
Structure and theoretical XRD peak list of Ba2CaI6 (a cell relaxed with GGA-PBE; Cu Kα (weighted mean of Kα1 and Kα2)).
Peak positions follow from Bragg's law for the DFT cell and can differ from measured ones.

Crystal structure
```
data_Ba2CaI6
_chemical_formula_sum 'Ba8 Ca4 I24'
_cell_length_a 8.577
_cell_length_b 8.190
_cell_length_c 24.987
_cell_angle_alpha 90.00
_cell_angle_beta 91.29
_cell_angle_gamma 90.00
_space_group_name_H-M_alt 'P 1 21/c 1'
_space_group_IT_number 14
loop_
_space_group_symop_operation_xyz
'x,y,z'
'-x,-y,-z'
'-x,y+1/2,-z+1/2'
'x,-y+1/2,z+1/2'
loop_
_atom_site_label
_atom_site_fract_x
_atom_site_fract_y
_atom_site_fract_z
Ba1 0.171 0.016 0.091
Ba2 0.272 0.061 0.762
Ca1 0.353 0.530 0.914
I1 0.028 0.744 0.311
I2 0.096 0.221 0.364
I3 0.141 0.718 0.475
I4 0.370 0.196 0.515
I5 0.425 0.709 0.158
I6 0.483 0.213 0.168
```

Most intense lines, 15 to 90 degrees two-theta, by angle:
two_theta  I_rel  index
18.25  571  1 1 -3
21.72  559  0 2 0
27.73  815  2 1 4
30.21  687  2 0 6
30.62  1000  0 2 6
30.93  809  2 2 -2

***

6.
Structure and theoretical XRD peak list of BaCaI4 (a cell relaxed with GGA-PBE; Cu Kα (weighted mean of Kα1 and Kα2)).
Peak positions follow from Bragg's law for the DFT cell and can differ from measured ones.

Crystal structure
```
data_BaCaI4
_chemical_formula_sum 'Ba4 Ca4 I16'
_cell_length_a 8.163
_cell_length_b 8.163
_cell_length_c 17.104
_cell_angle_alpha 90.00
_cell_angle_beta 90.00
_cell_angle_gamma 90.00
_space_group_name_H-M_alt 'I 41/a'
_space_group_IT_number 88
loop_
_space_group_symop_operation_xyz
'x,y,z'
'-x,-y,-z'
'-y+3/4,x+1/4,z+1/4'
'y+3/4,-x+1/4,-z+1/4'
'-x+1/2,-y,z+1/2'
'x+1/2,y,-z+1/2'
'y+3/4,-x+3/4,z+3/4'
'-y+3/4,x+3/4,-z+3/4'
'x+1/2,y+1/2,z+1/2'
'-x+1/2,-y+1/2,-z+1/2'
'-y+1/4,x+3/4,z+3/4'
'y+1/4,-x+3/4,-z+3/4'
'-x,-y+1/2,z'
'x,y+1/2,-z'
'y+1/4,-x+1/4,z+1/4'
'-y+1/4,x+1/4,-z+1/4'
loop_
_atom_site_label
_atom_site_fract_x
_atom_site_fract_y
_atom_site_fract_z
Ba1 0.000 0.250 0.125
Ca1 0.000 0.250 0.625
I1 0.174 0.477 0.289
```

Most intense lines, 15 to 90 degrees two-theta, by angle:
two_theta  I_rel  index
18.55  421  1 1 2
24.94  809  1 2 1
25.93  1000  1 1 4
29.04  380  2 1 3
30.27  739  2 0 4
30.99  475  2 2 0